Diffraction record for Ac6P4Pb. The X-ray diffraction stick pattern is theoretical, not measured: it uses a cell relaxed with GGA-PBE and Cu Kα, 1.54184 Å.
Lines closer than 0.1° are merged.

Principal peaks in the range 5 to 70 degrees two-theta, low angle first:
two_theta	I_rel
26.03	69
26.35	100
27.32	34
28.16	100
48.42	33
48.88	45

Cell and atoms:
Cell lengths 4.467, 14.669, 22.869 Å; angles 90.00, 90.00, 90.00 degrees
Space group Cmcm (No. 63)
Asymmetric unit:
Ac 0.000 0.000 0.000 x4
Ac 0.000 0.162 0.250 x4
Ac 0.000 0.274 0.581 x8
Ac 0.000 0.458 0.157 x8
P 0.000 0.091 0.124 x8
P 0.000 0.362 0.041 x8
Pb 0.000 0.162 0.750 x4